For Tb2CuI2, DFT lattice parameters and positions (GGA-PBE) gives the simulated powder XRD pattern in this record (copper Kα).
Kinematic intensities with the Lorentz-polarization factor, no thermal factor.

Main lines, most intense first (2θ from 10° to 90°):
| d/Å | Position (°2θ) | I (rel.) |
| --- | --- | --- |
| 3.160 | 28.24 | 100 |
| 2.758 | 32.46 | 67 |
| 2.153 | 41.96 | 51 |
| 2.040 | 44.41 | 49 |
| 2.894 | 30.90 | 33 |
| 1.312 | 71.97 | 17 |
| 1.714 | 53.46 | 17 |
| 1.481 | 62.74 | 15 |
| 1.198 | 80.07 | 15 |
| 1.640 | 56.07 | 14 |

Crystal structure
```
data_Tb2CuI2
_cell_length_a 4.0802
_cell_length_b 4.0802
_cell_length_c 35.2979
_cell_angle_alpha 90.00
_cell_angle_beta 90.00
_cell_angle_gamma 120.00
_symmetry_space_group_name_H-M 'R -3 m'
_symmetry_Int_Tables_number 166
_symmetry_space_group_name_Hall '-R 3 2"'
loop_
_atom_site_label
_atom_site_fract_x
_atom_site_fract_y
_atom_site_fract_z
_atom_site_occupancy
Tb1 0.0000 0.0000 0.1205 1
Cu1 0.0000 0.0000 0.5000 1
I1 0.0000 0.0000 0.2729 1
```